Record 1
Theoretical X-ray diffraction stick pattern
Compound: Mg6MnNbO8
Radiation: Cu Kα (weighted mean of Kα1 and Kα2)
Structure: a DFT-relaxed cell (PBE+U, Alexandria)
Neutral-atom scattering factors, no anomalous dispersion.

```
data_Mg6MnNbO8
_cell_length_a 4.3278
_cell_length_b 4.3278
_cell_length_c 8.8364
_cell_angle_alpha 90.00
_cell_angle_beta 90.00
_cell_angle_gamma 90.00
_symmetry_space_group_name_H-M 'P 4/m m m'
_symmetry_Int_Tables_number 123
_symmetry_space_group_name_Hall '-P 4 2'
loop_
_atom_site_label
_atom_site_type_symbol
_atom_site_fract_x
_atom_site_fract_y
_atom_site_fract_z
_atom_site_occupancy
Mg1 Mg 0.0000 0.0000 0.0000 1
Mg2 Mg 0.0000 0.0000 0.5000 1
Mg3 Mg 0.0000 0.5000 0.2462 1
Mn1 Mn 0.5000 0.5000 0.0000 1
Nb1 Nb 0.5000 0.5000 0.5000 1
O1 O 0.0000 0.0000 0.2511 1
O2 O 0.0000 0.5000 0.0000 1
O3 O 0.0000 0.5000 0.5000 1
O4 O 0.5000 0.5000 0.2439 1
```

Principal peaks in the range 2θ = 10–90°, low angle first:
index  2θ (°)  intensity
0 0 2  20.1  18.7
1 0 0  20.5  35.4
1 0 2  28.9  30.1
1 1 2  35.7  50.4
0 0 4  40.8  53.3
2 0 0  41.7  100.0
2 0 4  59.8  60.2
2 2 0  60.5  29.9
3 1 2  72.3  16.2
2 2 4  75.6  27.4



Record 2
Theoretical X-ray diffraction stick pattern
Compound: MgMn2NbO6
Radiation: Cu Kα (weighted mean of Kα1 and Kα2)
Structure: a DFT-relaxed cell (PBE+U, Alexandria)
Neutral-atom scattering factors, no anomalous dispersion.

```
data_MgMn2NbO6
_cell_length_a 5.2273
_cell_length_b 5.2831
_cell_length_c 5.5476
_cell_angle_alpha 62.80
_cell_angle_beta 89.63
_cell_angle_gamma 61.72
_symmetry_space_group_name_H-M 'P 1'
_symmetry_Int_Tables_number 1
loop_
_symmetry_equiv_pos_as_xyz
'x,y,z'
loop_
_atom_site_label
_atom_site_type_symbol
_atom_site_fract_x
_atom_site_fract_y
_atom_site_fract_z
_atom_site_occupancy
Mg1 Mg 0.0000 0.0000 0.0000 1
Mn1 Mn 0.2252 0.5483 0.6576 1
Mn2 Mn 0.7176 0.5808 0.1080 1
Nb1 Nb 0.5026 0.9939 0.4980 1
O1 O 0.1519 0.0631 0.3078 1
O2 O 0.3029 0.0723 0.7913 1
O3 O 0.4570 0.4310 0.3187 1
O4 O 0.6298 0.4820 0.8244 1
O5 O 0.7945 0.7787 0.3164 1
O6 O 0.8976 0.7853 0.8258 1
```

Principal peaks in the range 2θ = 10–90°, low angle first:
index  2θ (°)  intensity
0 1 1  20.4  45.6
1 1 0  20.6  46.9
1 0 -1  23.4  51.5
1 0 1  31.1  100.0
1 1 -1  31.9  82.7
0 1 2  32.4  70.3
-1 1 1  33.3  78.2
1 2 1  34.0  61.5
2 1 0  34.3  57.8
2 1 -2  52.6  45.6



Repeat the second record exactly.
Theoretical X-ray diffraction stick pattern
Compound: MgMn2NbO6
Radiation: Cu Kα (weighted mean of Kα1 and Kα2)
Structure: a DFT-relaxed cell (PBE+U, Alexandria)
Neutral-atom scattering factors, no anomalous dispersion.

```
data_MgMn2NbO6
_cell_length_a 5.2273
_cell_length_b 5.2831
_cell_length_c 5.5476
_cell_angle_alpha 62.80
_cell_angle_beta 89.63
_cell_angle_gamma 61.72
_symmetry_space_group_name_H-M 'P 1'
_symmetry_Int_Tables_number 1
loop_
_symmetry_equiv_pos_as_xyz
'x,y,z'
loop_
_atom_site_label
_atom_site_type_symbol
_atom_site_fract_x
_atom_site_fract_y
_atom_site_fract_z
_atom_site_occupancy
Mg1 Mg 0.0000 0.0000 0.0000 1
Mn1 Mn 0.2252 0.5483 0.6576 1
Mn2 Mn 0.7176 0.5808 0.1080 1
Nb1 Nb 0.5026 0.9939 0.4980 1
O1 O 0.1519 0.0631 0.3078 1
O2 O 0.3029 0.0723 0.7913 1
O3 O 0.4570 0.4310 0.3187 1
O4 O 0.6298 0.4820 0.8244 1
O5 O 0.7945 0.7787 0.3164 1
O6 O 0.8976 0.7853 0.8258 1
```

Principal peaks in the range 2θ = 10–90°, low angle first:
index  2θ (°)  intensity
0 1 1  20.4  45.6
1 1 0  20.6  46.9
1 0 -1  23.4  51.5
1 0 1  31.1  100.0
1 1 -1  31.9  82.7
0 1 2  32.4  70.3
-1 1 1  33.3  78.2
1 2 1  34.0  61.5
2 1 0  34.3  57.8
2 1 -2  52.6  45.6



> Number 2 is which compound?

MgMn2NbO6